[1]
For RbLa2Cu3Te5, a cell relaxed with GGA-PBE gives the calculated XRD peak list in this record (Cu Kα (λ = 1.5418 Å)).

Cell and atoms:
Unit cell a=8.1283 b=8.1283 c=18.8627 alpha=90.00 beta=90.00 gamma=147.96
Element x y z (fractional)
Rb (0.0572, 0.9428, 0.7500)
Rb (0.9428, 0.0572, 0.2500)
La (0.1930, 0.8070, 0.0914)
La (0.1930, 0.8070, 0.4086)
La (0.8070, 0.1930, 0.5914)
La (0.8070, 0.1930, 0.9086)
Cu (0.3371, 0.6629, 0.7500)
Cu (0.4161, 0.5839, 0.0205)
Cu (0.4161, 0.5839, 0.4795)
Cu (0.5839, 0.4161, 0.5205)
Cu (0.5839, 0.4161, 0.9795)
Cu (0.6629, 0.3371, 0.2500)
Te (0.1545, 0.8455, 0.5725)
Te (0.1545, 0.8455, 0.9275)
Te (0.2495, 0.7505, 0.2500)
Te (0.4470, 0.5530, 0.6199)
Te (0.4470, 0.5530, 0.8801)
Te (0.5530, 0.4470, 0.1199)
Te (0.5530, 0.4470, 0.3801)
Te (0.7505, 0.2495, 0.7500)
Te (0.8455, 0.1545, 0.0725)
Te (0.8455, 0.1545, 0.4275)

Most intense lines, 15° ≤ 2θ ≤ 90°, most intense first:
- 26.65 deg, rel. 100
- 26.22 deg, rel. 96
- 32.47 deg, rel. 71
- 27.90 deg, rel. 65
- 40.20 deg, rel. 64
- 28.39 deg, rel. 60

[2]
For LaTmCuTe3, a cell relaxed with GGA-PBE gives the calculated XRD peak list in this record (Cu Kα (λ = 1.5418 Å)).

Cell and atoms:
Unit cell a=7.4659 b=7.4659 c=11.1081 alpha=90.00 beta=90.00 gamma=146.96
Element x y z (fractional)
La (0.2348, 0.7652, 0.7500)
La (0.7652, 0.2348, 0.2500)
Tm (0.0000, 0.0000, 0.0000)
Tm (0.0000, 0.0000, 0.5000)
Cu (0.4700, 0.5300, 0.2500)
Cu (0.5300, 0.4700, 0.7500)
Te (0.0851, 0.9149, 0.2500)
Te (0.3553, 0.6447, 0.0627)
Te (0.3553, 0.6447, 0.4373)
Te (0.6447, 0.3553, 0.5627)
Te (0.6447, 0.3553, 0.9373)
Te (0.9149, 0.0851, 0.7500)

Most intense lines, 15° ≤ 2θ ≤ 90°, most intense first:
- 32.51 deg, rel. 100
- 29.28 deg, rel. 78
- 41.17 deg, rel. 46
- 42.59 deg, rel. 39
- 32.23 deg, rel. 34
- 27.11 deg, rel. 34

[3]
For Li5Cu2, a cell relaxed with GGA-PBE gives the calculated XRD peak list in this record (Cu Kα (λ = 1.5418 Å)).

Cell and atoms:
Unit cell a=9.2242 b=9.2242 c=9.2063 alpha=90.00 beta=90.00 gamma=90.00
Element x y z (fractional)
Li (0.0031, 0.4120, 0.3109)
Li (0.0418, 0.0418, 0.0000)
Li (0.0461, 0.1457, 0.2863)
Li (0.0824, 0.3225, 0.8217)
Li (0.0880, 0.5031, 0.5609)
Li (0.1335, 0.8665, 0.2500)
Li (0.1457, 0.0461, 0.7137)
Li (0.1775, 0.5824, 0.0717)
Li (0.1779, 0.7760, 0.5855)
Li (0.2240, 0.8221, 0.9145)
Li (0.2760, 0.3221, 0.3355)
Li (0.3221, 0.2760, 0.6645)
Li (0.3225, 0.0824, 0.1783)
Li (0.3543, 0.5461, 0.5363)
Li (0.3665, 0.3665, 0.0000)
Li (0.4120, 0.0031, 0.6891)
Li (0.4176, 0.8225, 0.4283)
Li (0.4539, 0.6457, 0.9637)
Li (0.4582, 0.5418, 0.2500)
Li (0.4969, 0.9120, 0.9391)
Li (0.5031, 0.0880, 0.4391)
Li (0.5418, 0.4582, 0.7500)
Li (0.5461, 0.3543, 0.4637)
Li (0.5824, 0.1775, 0.9283)
Li (0.5880, 0.9969, 0.1891)
Li (0.6335, 0.6335, 0.5000)
Li (0.6457, 0.4539, 0.0363)
Li (0.6775, 0.9176, 0.6783)
Li (0.6779, 0.7240, 0.1645)
Li (0.7240, 0.6779, 0.8355)
Li (0.7760, 0.1779, 0.4145)
Li (0.8221, 0.2240, 0.0855)
Li (0.8225, 0.4176, 0.5717)
Li (0.8543, 0.9539, 0.2137)
Li (0.8665, 0.1335, 0.7500)
Li (0.9120, 0.4969, 0.0609)
Li (0.9176, 0.6775, 0.3217)
Li (0.9539, 0.8543, 0.7863)
Li (0.9582, 0.9582, 0.5000)
Li (0.9969, 0.5880, 0.8109)
Cu (0.0504, 0.2311, 0.5419)
Cu (0.1245, 0.2909, 0.0812)
Cu (0.2091, 0.6245, 0.3312)
Cu (0.2311, 0.0504, 0.4581)
Cu (0.2689, 0.5504, 0.7919)
Cu (0.2909, 0.1245, 0.9188)
Cu (0.3755, 0.7909, 0.1688)
Cu (0.4496, 0.7311, 0.7081)
Cu (0.5504, 0.2689, 0.2081)
Cu (0.6245, 0.2091, 0.6688)
Cu (0.7091, 0.8755, 0.4188)
Cu (0.7311, 0.4496, 0.2919)
Cu (0.7689, 0.9496, 0.9581)
Cu (0.7909, 0.3755, 0.8312)
Cu (0.8755, 0.7091, 0.5812)
Cu (0.9496, 0.7689, 0.0419)

Most intense lines, 15° ≤ 2θ ≤ 90°, most intense first:
- 21.56 deg, rel. 100
- 29.07 deg, rel. 78
- 23.64 deg, rel. 72
- 27.37 deg, rel. 61
- 50.49 deg, rel. 54
- 40.35 deg, rel. 49

[4]
For Li3Cu8, a cell relaxed with GGA-PBE gives the calculated XRD peak list in this record (Cu Kα (λ = 1.5418 Å)).

Cell and atoms:
Unit cell a=4.4341 b=5.7379 c=5.8033 alpha=108.30 beta=98.17 gamma=104.73
Element x y z (fractional)
Li (0.0000, 0.0000, 0.0000)
Li (0.3651, 0.4561, 0.2693)
Li (0.6349, 0.5439, 0.7307)
Cu (0.0953, 0.3734, 0.8132)
Cu (0.1846, 0.7300, 0.6367)
Cu (0.2678, 0.0814, 0.4614)
Cu (0.4435, 0.8227, 0.0931)
Cu (0.5565, 0.1773, 0.9069)
Cu (0.7322, 0.9186, 0.5386)
Cu (0.8154, 0.2700, 0.3633)
Cu (0.9047, 0.6266, 0.1868)

Most intense lines, 15° ≤ 2θ ≤ 90°, most intense first:
- 43.12 deg, rel. 100
- 42.99 deg, rel. 50
- 43.44 deg, rel. 50
- 50.51 deg, rel. 36
- 49.51 deg, rel. 32
- 22.78 deg, rel. 31

[5]
For Li8Cu3, a cell relaxed with GGA-PBE gives the calculated XRD peak list in this record (Cu Kα (λ = 1.5418 Å)).

Cell and atoms:
Unit cell a=4.2819 b=4.2819 c=9.9754 alpha=102.55 beta=102.55 gamma=59.87
Element x y z (fractional)
Li (0.0904, 0.0904, 0.2715)
Li (0.1805, 0.1805, 0.5414)
Li (0.2719, 0.2719, 0.8157)
Li (0.3640, 0.3640, 0.0920)
Li (0.6360, 0.6360, 0.9080)
Li (0.7281, 0.7281, 0.1843)
Li (0.8195, 0.8195, 0.4586)
Li (0.9096, 0.9096, 0.7285)
Cu (0.0000, 0.0000, 0.0000)
Cu (0.4572, 0.4572, 0.3725)
Cu (0.5428, 0.5428, 0.6275)

Most intense lines, 15° ≤ 2θ ≤ 90°, most intense first:
- 24.80 deg, rel. 100
- 42.24 deg, rel. 48
- 42.09 deg, rel. 47
- 27.03 deg, rel. 42
- 27.71 deg, rel. 20
- 51.32 deg, rel. 14

[6]
For Li3Cu4, a cell relaxed with GGA-PBE gives the calculated XRD peak list in this record (Cu Kα (λ = 1.5418 Å)).

Cell and atoms:
Unit cell a=4.4903 b=4.4903 c=4.4903 alpha=99.35 beta=99.35 gamma=99.35
Element x y z (fractional)
Li (0.1434, 0.5773, 0.2794)
Li (0.2794, 0.1434, 0.5773)
Li (0.5773, 0.2794, 0.1434)
Cu (0.4340, 0.7150, 0.8629)
Cu (0.7150, 0.8629, 0.4340)
Cu (0.8629, 0.4340, 0.7150)
Cu (0.9843, 0.9843, 0.9843)

Most intense lines, 15° ≤ 2θ ≤ 90°, most intense first:
- 42.76 deg, rel. 100
- 20.43 deg, rel. 72
- 49.69 deg, rel. 66
- 26.03 deg, rel. 36
- 42.44 deg, rel. 31
- 88.39 deg, rel. 21

Repeat the second record exactly.
For LaTmCuTe3, a cell relaxed with GGA-PBE gives the calculated XRD peak list in this record (Cu Kα (λ = 1.5418 Å)).

Cell and atoms:
Unit cell a=7.4659 b=7.4659 c=11.1081 alpha=90.00 beta=90.00 gamma=146.96
Element x y z (fractional)
La (0.2348, 0.7652, 0.7500)
La (0.7652, 0.2348, 0.2500)
Tm (0.0000, 0.0000, 0.0000)
Tm (0.0000, 0.0000, 0.5000)
Cu (0.4700, 0.5300, 0.2500)
Cu (0.5300, 0.4700, 0.7500)
Te (0.0851, 0.9149, 0.2500)
Te (0.3553, 0.6447, 0.0627)
Te (0.3553, 0.6447, 0.4373)
Te (0.6447, 0.3553, 0.5627)
Te (0.6447, 0.3553, 0.9373)
Te (0.9149, 0.0851, 0.7500)

Most intense lines, 15° ≤ 2θ ≤ 90°, most intense first:
- 32.51 deg, rel. 100
- 29.28 deg, rel. 78
- 41.17 deg, rel. 46
- 42.59 deg, rel. 39
- 32.23 deg, rel. 34
- 27.11 deg, rel. 34